Diffraction record for Sc5Sn2Pd12. The powder diffraction line list is simulated, not measured: it uses a GGA-PBE-relaxed structure and copper Kα.
Lines closer than 0.1° are merged.

Crystal structure
Cell: 7.6650 7.6650 6.7605 Å, 96.71 96.71 58.04°
Fractional positions:
Sc1 0.0000 0.0000 0.0000
Sc2 0.2497 0.2497 0.0479
Sc3 0.3350 0.3350 0.5686
Sc4 0.6650 0.6650 0.4314
Sc5 0.7503 0.7503 0.9521
Sn1 0.2084 0.7916 0.5000
Sn2 0.7916 0.2084 0.5000
Pd1 0.0160 0.6048 0.2862
Pd2 0.1435 0.1435 0.3550
Pd3 0.1949 0.5968 0.9088
Pd4 0.3952 0.9840 0.7138
Pd5 0.4032 0.8051 0.0912
Pd6 0.4522 0.4522 0.2561
Pd7 0.5478 0.5478 0.7439
Pd8 0.5968 0.1949 0.9088
Pd9 0.6048 0.0160 0.2862
Pd10 0.8051 0.4032 0.0912
Pd11 0.8565 0.8565 0.6450
Pd12 0.9840 0.3952 0.7138

Most intense lines, 15 to 90 degrees two-theta, in order of falling intensity:
two_theta  intensity
37.3  100
40.0  99
41.2  50
39.0  49
44.5  31
37.8  28
28.2  21
50.3  17